(1)
Starting from a crystal structure in Alexandria, relaxed with PBE, the powder diffractogram of Tb6NdTh2 was simulated for Cu Kα X-rays.

Atomic structure:
Cell lengths 9.798, 9.798, 3.497 Å; angles 90.00, 90.00, 120.12 degrees
Fractional coordinates of all 9 atoms:
1 Tb 0.164 0.164 0.000
2 Tb 0.165 0.500 0.000
3 Tb 0.500 0.165 0.000
4 Tb 0.500 0.835 0.000
5 Tb 0.835 0.500 0.000
6 Tb 0.836 0.836 0.000
7 Nd 0.500 0.500 0.500
8 Th 0.167 0.833 0.500
9 Th 0.833 0.167 0.500

Most intense lines, 10 to 90 degrees two-theta, low angle first:
d 2.846, 31.44°, rel. 98
d 2.827, 31.65°, rel. 100
d 2.006, 45.21°, rel. 36
d 1.748, 52.33°, rel. 8
d 1.636, 56.24°, rel. 38
d 1.633, 56.34°, rel. 13
d 1.487, 62.46°, rel. 29
d 1.413, 66.15°, rel. 8
d 1.266, 74.99°, rel. 11
d 1.193, 80.51°, rel. 14



(2)
Starting from a crystal structure in Alexandria, relaxed with PBE, the powder diffractogram of PH6PbCCl3 was simulated for Cu Kα X-rays.

Atomic structure:
Cell lengths 10.098, 4.550, 19.152 Å; angles 90.00, 90.26, 90.00 degrees
Fractional coordinates of all 48 atoms:
1 P 0.000 0.000 0.000
2 P 0.099 0.500 0.377
3 P 0.487 0.000 0.876
4 P 0.603 0.500 0.506
5 H 0.020 0.000 0.125
6 H 0.041 0.304 0.488
7 H 0.041 0.696 0.488
8 H 0.083 0.245 0.991
9 H 0.083 0.755 0.991
10 H 0.169 0.257 0.350
11 H 0.169 0.743 0.350
12 H 0.196 0.500 0.491
13 H 0.352 0.000 0.857
14 H 0.457 0.195 0.991
15 H 0.457 0.805 0.991
16 H 0.465 0.500 0.499
17 H 0.547 0.245 0.845
18 H 0.547 0.755 0.845
19 H 0.612 0.000 0.982
20 H 0.616 0.304 0.622
21 H 0.616 0.696 0.622
22 H 0.658 0.256 0.471
23 H 0.658 0.744 0.471
24 H 0.764 0.500 0.598
25 H 0.875 0.196 0.096
26 H 0.875 0.804 0.096
27 H 0.898 0.000 0.950
28 H 0.974 0.500 0.343
29 Pb 0.236 0.000 0.681
30 Pb 0.369 0.500 0.183
31 Pb 0.691 0.000 0.287
32 Pb 0.910 0.500 0.790
33 C 0.095 0.500 0.470
34 C 0.506 0.000 0.969
35 C 0.655 0.500 0.596
36 C 0.936 0.000 0.087
37 Cl 0.049 0.500 0.650
38 Cl 0.097 0.000 0.833
39 Cl 0.207 0.000 0.229
40 Cl 0.272 0.500 0.050
41 Cl 0.359 0.000 0.554
42 Cl 0.389 0.500 0.734
43 Cl 0.512 0.500 0.334
44 Cl 0.552 0.000 0.151
45 Cl 0.757 0.000 0.745
46 Cl 0.776 0.500 0.918
47 Cl 0.840 0.500 0.237
48 Cl 0.845 0.000 0.412

Most intense lines, 10 to 90 degrees two-theta, low angle first:
d 6.949, 12.74°, rel. 99
d 4.327, 20.53°, rel. 45
d 4.055, 21.92°, rel. 100
d 3.960, 22.45°, rel. 37
d 3.380, 26.37°, rel. 36
d 3.329, 26.78°, rel. 36
d 3.188, 27.99°, rel. 91
d 3.044, 29.34°, rel. 54
d 2.360, 38.14°, rel. 30
d 2.352, 38.27°, rel. 34



(3)
Starting from a crystal structure in Alexandria, relaxed with PBE, the powder diffractogram of LaAsBrO4 was simulated for Cu Kα X-rays.

Atomic structure:
Cell lengths 6.836, 6.836, 7.084 Å; angles 99.76, 99.76, 58.21 degrees
Fractional coordinates of all 14 atoms:
1 La 0.204 0.204 0.318
2 La 0.796 0.796 0.682
3 As 0.135 0.135 0.756
4 As 0.865 0.865 0.244
5 Br 0.484 0.484 0.835
6 Br 0.516 0.516 0.165
7 O 0.009 0.009 0.265
8 O 0.020 0.621 0.371
9 O 0.202 0.202 0.990
10 O 0.379 0.980 0.629
11 O 0.621 0.020 0.371
12 O 0.798 0.798 0.010
13 O 0.980 0.379 0.629
14 O 0.991 0.991 0.735

Most intense lines, 10 to 90 degrees two-theta, low angle first:
d 4.250, 20.90°, rel. 28
d 3.475, 25.64°, rel. 36
d 3.368, 26.46°, rel. 100
d 3.325, 26.81°, rel. 69
d 3.252, 27.43°, rel. 30
d 3.113, 28.68°, rel. 29
d 2.650, 33.83°, rel. 27
d 2.402, 37.44°, rel. 26
d 1.703, 53.83°, rel. 17
d 1.471, 63.23°, rel. 21



(4)
Starting from a crystal structure in Alexandria, relaxed with PBE, the powder diffractogram of Tm5In2 was simulated for Cu Kα X-rays.

Atomic structure:
Cell lengths 5.301, 5.301, 8.467 Å; angles 108.36, 108.36, 60.14 degrees
Fractional coordinates of all 7 atoms:
1 Tm 0.000 0.000 0.000
2 Tm 0.153 0.153 0.458
3 Tm 0.425 0.425 0.276
4 Tm 0.575 0.575 0.724
5 Tm 0.847 0.847 0.542
6 In 0.283 0.283 0.850
7 In 0.717 0.717 0.150

Most intense lines, 10 to 90 degrees two-theta, low angle first:
d 2.722, 32.90°, rel. 100
d 2.652, 33.79°, rel. 99
d 1.902, 47.82°, rel. 23
d 1.895, 48.00°, rel. 12
d 1.587, 58.13°, rel. 11
d 1.584, 58.25°, rel. 9
d 1.545, 59.85°, rel. 24
d 1.543, 59.96°, rel. 12
d 1.532, 60.41°, rel. 12
d 1.193, 80.47°, rel. 10



(5)
Starting from a crystal structure in Alexandria, relaxed with PBE, the powder diffractogram of Pr6Ga2N was simulated for Cu Kα X-rays.

Atomic structure:
Cell lengths 6.592, 8.356, 11.010 Å; angles 90.00, 121.48, 90.00 degrees
Fractional coordinates of all 18 atoms:
1 Pr 0.122 0.145 0.448
2 Pr 0.122 0.355 0.948
3 Pr 0.314 0.718 0.442
4 Pr 0.314 0.782 0.942
5 Pr 0.358 0.039 0.242
6 Pr 0.358 0.461 0.742
7 Pr 0.642 0.539 0.258
8 Pr 0.642 0.961 0.758
9 Pr 0.686 0.218 0.058
10 Pr 0.686 0.282 0.558
11 Pr 0.878 0.645 0.052
12 Pr 0.878 0.855 0.552
13 Ga 0.199 0.113 0.766
14 Ga 0.199 0.387 0.266
15 Ga 0.801 0.613 0.734
16 Ga 0.801 0.887 0.234
17 N 0.500 0.000 0.500
18 N 0.500 0.500 0.000

Most intense lines, 10 to 90 degrees two-theta, low angle first:
d 3.249, 27.45°, rel. 60
d 3.121, 28.60°, rel. 99
d 3.055, 29.23°, rel. 75
d 2.929, 30.52°, rel. 48
d 2.837, 31.54°, rel. 76
d 2.759, 32.45°, rel. 100
d 2.732, 32.78°, rel. 39
d 2.664, 33.64°, rel. 45
d 2.564, 35.00°, rel. 50
d 2.496, 35.99°, rel. 65



(6)
Starting from a crystal structure in Alexandria, relaxed with PBE, the powder diffractogram of Cs2UAgS4 was simulated for Cu Kα X-rays.

Atomic structure:
Cell lengths 7.217, 7.217, 7.217 Å; angles 114.60, 114.60, 99.64 degrees
Fractional coordinates of all 8 atoms:
1 Cs 0.000 0.000 0.000
2 Cs 0.750 0.250 0.500
3 U 0.250 0.750 0.500
4 Ag 0.500 0.500 0.000
5 S 0.235 0.120 0.592
6 S 0.357 0.765 0.885
7 S 0.528 0.643 0.408
8 S 0.880 0.472 0.115

Most intense lines, 10 to 90 degrees two-theta, low angle first:
d 5.979, 14.82°, rel. 15
d 3.899, 22.81°, rel. 44
d 3.558, 25.03°, rel. 100
d 2.757, 32.48°, rel. 28
d 2.179, 41.44°, rel. 51
d 1.999, 45.37°, rel. 25
d 1.779, 51.37°, rel. 12
d 1.744, 52.48°, rel. 14
d 1.494, 62.11°, rel. 15
d 1.453, 64.09°, rel. 14



(7)
Starting from a crystal structure in Alexandria, relaxed with PBE, the powder diffractogram of LaNb3Br was simulated for Cu Kα X-rays.

Atomic structure:
Cell lengths 4.903, 4.903, 4.903 Å; angles 90.00, 90.00, 90.00 degrees
Fractional coordinates of all 5 atoms:
1 La 0.000 0.000 0.000
2 Nb 0.000 0.500 0.500
3 Nb 0.500 0.000 0.500
4 Nb 0.500 0.500 0.000
5 Br 0.500 0.500 0.500

Most intense lines, 10 to 90 degrees two-theta, low angle first:
d 3.467, 25.70°, rel. 30
d 2.831, 31.61°, rel. 91
d 2.451, 36.66°, rel. 100
d 2.002, 45.31°, rel. 13
d 1.733, 52.81°, rel. 69
d 1.478, 62.87°, rel. 37
d 1.415, 66.01°, rel. 23
d 1.226, 77.95°, rel. 11
d 1.125, 86.54°, rel. 15
d 1.096, 89.37°, rel. 31



Copy entry 5 word for word.
Starting from a crystal structure in Alexandria, relaxed with PBE, the powder diffractogram of Pr6Ga2N was simulated for Cu Kα X-rays.

Atomic structure:
Cell lengths 6.592, 8.356, 11.010 Å; angles 90.00, 121.48, 90.00 degrees
Fractional coordinates of all 18 atoms:
1 Pr 0.122 0.145 0.448
2 Pr 0.122 0.355 0.948
3 Pr 0.314 0.718 0.442
4 Pr 0.314 0.782 0.942
5 Pr 0.358 0.039 0.242
6 Pr 0.358 0.461 0.742
7 Pr 0.642 0.539 0.258
8 Pr 0.642 0.961 0.758
9 Pr 0.686 0.218 0.058
10 Pr 0.686 0.282 0.558
11 Pr 0.878 0.645 0.052
12 Pr 0.878 0.855 0.552
13 Ga 0.199 0.113 0.766
14 Ga 0.199 0.387 0.266
15 Ga 0.801 0.613 0.734
16 Ga 0.801 0.887 0.234
17 N 0.500 0.000 0.500
18 N 0.500 0.500 0.000

Most intense lines, 10 to 90 degrees two-theta, low angle first:
d 3.249, 27.45°, rel. 60
d 3.121, 28.60°, rel. 99
d 3.055, 29.23°, rel. 75
d 2.929, 30.52°, rel. 48
d 2.837, 31.54°, rel. 76
d 2.759, 32.45°, rel. 100
d 2.732, 32.78°, rel. 39
d 2.664, 33.64°, rel. 45
d 2.564, 35.00°, rel. 50
d 2.496, 35.99°, rel. 65